No. 1
Simulated powder diffractogram
Compound: NaCeCuTe4
Radiation: copper Kα
Structure: the PBE geometry in Alexandria
Kinematic intensities with the Lorentz-polarization factor, no thermal factor.

Structure:
Unit cell a=4.4198 b=4.4198 c=20.1333 alpha=90.00 beta=90.00 gamma=90.00
Space group P4/nmm (No. 129, origin choice 2)
Unique sites:
Na  0.2500  0.2500  0.1285
Ce  0.2500  0.2500  0.6050
Cu  0.2500  0.7500  0.0000
Te  0.2500  0.2500  0.4409
Te  0.2500  0.2500  0.9230
Te  0.2500  0.7500  0.2738

The 10 most intense peaks (10 to 80 degrees two-theta), sorted by position:
(0 0 3), 2θ = 13.2°, I = 35; (0 0 6), 2θ = 26.6°, I = 32; (1 0 4), 2θ = 26.8°, I = 27; (1 1 2), 2θ = 29.9°, I = 88; (1 0 6), 2θ = 33.5°, I = 32; (1 1 4), 2θ = 33.8°, I = 100; (2 0 0), 2θ = 40.8°, I = 76; (2 0 6), 2θ = 49.4°, I = 23; (2 2 0), 2θ = 59.1°, I = 25; (3 1 4), 2θ = 69.8°, I = 23



No. 2
Simulated powder diffractogram
Compound: Sr4CePr3Nb2Cu4O20
Radiation: copper Kα
Structure: the PBE geometry in Alexandria
Kinematic intensities with the Lorentz-polarization factor, no thermal factor.

Structure:
Unit cell a=5.6084 b=5.6079 c=29.1190 alpha=90.00 beta=90.00 gamma=90.00
Space group Amm2 (No. 38)
Unique sites:
Sr  0.0000  0.0000  0.0000
Sr  0.0000  0.0000  0.1616
Sr  0.5000  0.0000  0.4974
Sr  0.5000  0.0000  0.6617
Ce  0.5000  0.0000  0.3722
Pr  0.0000  0.0000  0.2856
Pr  0.0000  0.0000  0.8760
Pr  0.5000  0.0000  0.7856
Nb  0.0000  0.0000  0.5795
Nb  0.5000  0.0000  0.0795
Cu  0.0000  0.0000  0.4379
Cu  0.0000  0.0000  0.7214
Cu  0.5000  0.0000  0.2213
Cu  0.5000  0.0000  0.9379
O  0.0000  0.0000  0.5111
O  0.0000  0.0000  0.6476
O  0.2494  0.2494  0.0792
O  0.2498  0.2502  0.2261
O  0.2535  0.2465  0.4330
O  0.2569  0.2431  0.3319
O  0.5000  0.0000  0.0111
O  0.5000  0.0000  0.1477

The 10 most intense peaks (10 to 80 degrees two-theta), sorted by position:
(1 1 3), 2θ = 24.2°, I = 17; (1 1 7), 2θ = 31.2°, I = 100; (2 0 0), 2θ = 31.9°, I = 42; (0 0 14), 2θ = 43.5°, I = 10; (2 0 10), 2θ = 44.9°, I = 12; (2 2 0), 2θ = 45.8°, I = 31; (2 0 14), 2θ = 55.0°, I = 14; (3 1 7), 2θ = 56.4°, I = 37; (2 2 14), 2θ = 65.0°, I = 12; (4 0 0), 2θ = 66.7°, I = 11



No. 3
Simulated powder diffractogram
Compound: Sr4CeSm3Nb2Cu4O20
Radiation: copper Kα
Structure: the PBE geometry in Alexandria
Kinematic intensities with the Lorentz-polarization factor, no thermal factor.

Structure:
Unit cell a=3.9358 b=3.9358 c=29.1695 alpha=90.00 beta=90.00 gamma=90.00
Space group P4mm (No. 99)
Unique sites:
Sr  0.0000  0.0000  0.0000
Sr  0.0000  0.0000  0.1642
Sr  0.5000  0.5000  0.5057
Sr  0.5000  0.5000  0.6702
Ce  0.5000  0.5000  0.3770
Sm  0.0000  0.0000  0.2889
Sm  0.0000  0.0000  0.8760
Sm  0.5000  0.5000  0.7937
Nb  0.0000  0.0000  0.5826
Nb  0.5000  0.5000  0.0851
Cu  0.0000  0.0000  0.4394
Cu  0.0000  0.0000  0.7288
Cu  0.5000  0.5000  0.2275
Cu  0.5000  0.5000  0.9415
O  0.0000  0.0000  0.5120
O  0.0000  0.0000  0.6494
O  0.0000  0.5000  0.0874
O  0.0000  0.5000  0.2346
O  0.0000  0.5000  0.3354
O  0.0000  0.5000  0.4309
O  0.0000  0.5000  0.5787
O  0.0000  0.5000  0.7308
O  0.0000  0.5000  0.8347
O  0.0000  0.5000  0.9382
O  0.5000  0.5000  0.0176
O  0.5000  0.5000  0.1546

The 10 most intense peaks (10 to 80 degrees two-theta), sorted by position:
(1 0 3), 2θ = 24.4°, I = 16; (1 0 7), 2θ = 31.3°, I = 100; (1 1 0), 2θ = 32.2°, I = 42; (0 0 14), 2θ = 43.4°, I = 10; (1 1 10), 2θ = 45.0°, I = 11; (2 0 0), 2θ = 46.1°, I = 30; (1 1 14), 2θ = 55.1°, I = 15; (2 1 7), 2θ = 56.8°, I = 37; (2 0 14), 2θ = 65.2°, I = 12; (2 2 0), 2θ = 67.3°, I = 9